Entry 1:
# PmZrRu4
Computed powder diffraction line list, copper Kα. Input: a crystal structure in Alexandria, relaxed with PBE.

Most intense lines, 2θ = 15–90°, low angle first:
2θ (°), Rel. int., hkl
20.48, 3, 1 1 1
33.76, 32, 2 2 0
39.81, 100, 3 1 1
41.66, 35, 2 2 2
60.38, 12, 4 2 2
64.47, 31, 5 1 1
71.00, 26, 4 4 0
80.97, 5, 6 2 0
84.62, 11, 5 3 3
85.83, 13, 6 2 2

Atomic structure:
Unit cell a=7.5101 b=7.5101 c=7.5101 alpha=90.00 beta=90.00 gamma=90.00
Space group F-43m (No. 216)
Unique sites:
Pm  0.0000  0.0000  0.0000 (multiplicity 4)
Zr  0.2500  0.2500  0.2500 (multiplicity 4)
Ru  0.1245  0.1245  0.6245 (multiplicity 16)

---

Entry 2:
# Pm5S4
Computed powder diffraction line list, copper Kα. Input: a crystal structure in Alexandria, relaxed with PBE.

Most intense lines, 2θ = 15–90°, low angle first:
2θ (°), Rel. int., hkl
25.07, 43, 3 1 0
29.14, 100, 1 2 1
35.75, 32, 2 4 0
37.05, 30, 2 3 1
40.50, 19, 4 1 1
46.76, 22, 4 3 1
47.18, 14, 3 5 0
53.98, 11, 3 1 2
60.41, 14, 2 4 2
72.05, 14, 4 7 1

Atomic structure:
Unit cell a=11.2332 b=11.2332 c=3.8681 alpha=90.00 beta=90.00 gamma=90.00
Space group I4/m (No. 87)
Unique sites:
Pm  0.0000  0.0000  0.0000 (multiplicity 2)
Pm  0.0791  0.7458  0.5000 (multiplicity 8)
S  0.1115  0.2175  0.0000 (multiplicity 8)

---

Entry 3:
# PmS2
Computed powder diffraction line list, copper Kα. Input: a crystal structure in Alexandria, relaxed with PBE.

Most intense lines, 2θ = 15–90°, low angle first:
2θ (°), Rel. int., hkl
21.97, 28, 2 0 0
24.77, 100, 1 0 -2
31.55, 43, 0 1 2
33.21, 14, 3 0 0
33.48, 18, 1 1 2
38.77, 61, 2 1 -2
40.29, 44, 3 0 2
45.27, 15, 0 0 4
52.26, 18, 1 1 4
62.11, 17, 3 1 -4

Atomic structure:
Unit cell a=8.0932 b=4.0150 c=8.0131 alpha=90.00 beta=90.14 gamma=90.00
Space group P2_1/c (No. 14)
Unique sites:
Pm  0.2244  0.2122  0.3712 (multiplicity 4)
S  0.1325  0.7396  0.1255 (multiplicity 4)
S  0.4973  0.6576  0.3911 (multiplicity 4)